1.
For ZnNi4O5, a crystal structure in the Materials Project, relaxed with GGA+U gives the simulated X-ray powder pattern in this record (Cu Kα X-rays).
Kinematic intensities with the Lorentz-polarization factor, no thermal factor.

Principal peaks in the range 5° ≤ 2θ ≤ 70°, by angle:
| 2θ (°) | d [Å] | I/Imax | (hkl) |
| --- | --- | --- | --- |
| 36.60 | 2.455 | 76 | 2 1 1 |
| 42.52 | 2.126 | 100 | 1 3 0 |
| 61.70 | 1.503 | 58 | 4 2 0 |

Atomic structure:
```
data_ZnNi4O5
_symmetry_space_group_name_H-M 'I 4/m'
_symmetry_Int_Tables_number 87
_symmetry_space_group_name_Hall '-I 4'
_cell_length_a 6.724
_cell_length_b 6.724
_cell_length_c 4.252
_cell_angle_alpha 90.00
_cell_angle_beta 90.00
_cell_angle_gamma 90.00
loop_
_atom_site_label
_atom_site_type_symbol
_atom_site_fract_x
_atom_site_fract_y
_atom_site_fract_z
Zn1 Zn 0.000 0.000 0.000
Ni1 Ni 0.100 0.300 0.500
O1 O 0.000 0.000 0.500
O2 O 0.102 0.303 0.000
```


2.
For LiPWCO7, a crystal structure in the Materials Project, relaxed with GGA+U gives the simulated X-ray powder pattern in this record (Cu Kα X-rays).
Kinematic intensities with the Lorentz-polarization factor, no thermal factor.

Principal peaks in the range 5° ≤ 2θ ≤ 70°, by angle:
| 2θ (°) | d [Å] | I/Imax | (hkl) |
| --- | --- | --- | --- |
| 9.95 | 8.893 | 83 | 0 0 1 |
| 16.84 | 5.266 | 100 | 0 1 1 |
| 19.23 | 4.616 | 40 | 1 0 -1 |
| 20.59 | 4.314 | 52 | 1 0 1 |
| 21.97 | 4.046 | 55 | 1 1 0 |
| 25.42 | 3.504 | 38 | 1 0 -2 |
| 27.29 | 3.268 | 49 | 0 2 0 |
| 38.74 | 2.324 | 20 | 1 1 3 |

Atomic structure:
```
data_LiPWCO7
_symmetry_space_group_name_H-M 'P 1 21 1'
_symmetry_Int_Tables_number 4
_symmetry_space_group_name_Hall 'P 2yb'
_cell_length_a 5.167
_cell_length_b 6.535
_cell_length_c 8.921
_cell_angle_alpha 90.00
_cell_angle_beta 94.47
_cell_angle_gamma 90.00
loop_
_atom_site_label
_atom_site_type_symbol
_atom_site_fract_x
_atom_site_fract_y
_atom_site_fract_z
Li1 Li 0.239 0.000 0.212
P1 P 0.214 0.757 0.573
W1 W 0.293 0.252 0.671
C1 C 0.218 0.264 0.950
O1 O 0.025 0.284 0.841
O2 O 0.086 0.241 0.462
O3 O 0.192 0.236 0.084
O4 O 0.275 0.942 0.675
O5 O 0.315 0.565 0.661
O6 O 0.341 0.775 0.422
O7 O 0.451 0.266 0.888
```


3.
For Li7Fe6Si6O24, a crystal structure in the Materials Project, relaxed with GGA+U gives the simulated X-ray powder pattern in this record (Cu Kα X-rays).
Kinematic intensities with the Lorentz-polarization factor, no thermal factor.

Principal peaks in the range 5° ≤ 2θ ≤ 70°, by angle:
| 2θ (°) | d [Å] | I/Imax | (hkl) |
| --- | --- | --- | --- |
| 20.15 | 4.406 | 65 | 1 0 1 |
| 21.36 | 4.160 | 66 | 0 1 -2 |
| 21.59 | 4.116 | 81 | 2 0 -1 |
| 25.28 | 3.523 | 90 | 2 0 -2 |
| 31.06 | 2.880 | 100 | 0 1 2 |
| 31.22 | 2.865 | 52 | 2 0 1 |
| 33.85 | 2.648 | 48 | 1 -3 2 |
| 34.10 | 2.630 | 49 | -3 2 1 |

Atomic structure:
```
data_Li7Fe6Si6O24
_symmetry_space_group_name_H-M 'P 1'
_symmetry_Int_Tables_number 1
_symmetry_space_group_name_Hall 'P 1'
_cell_length_a 8.625
_cell_length_b 8.672
_cell_length_c 8.773
_cell_angle_alpha 107.86
_cell_angle_beta 108.15
_cell_angle_gamma 106.84
loop_
_atom_site_label
_atom_site_type_symbol
_atom_site_fract_x
_atom_site_fract_y
_atom_site_fract_z
Li1 Li 0.000 0.000 0.000
Li2 Li 0.066 0.574 0.880
Li3 Li 0.217 0.666 0.213
Li4 Li 0.293 0.758 0.518
Li5 Li 0.454 0.350 0.714
Li6 Li 0.575 0.268 0.173
Li7 Li 0.702 0.853 0.424
Fe1 Fe 0.082 0.190 0.728
Fe2 Fe 0.312 0.368 0.334
Fe3 Fe 0.397 0.946 0.216
Fe4 Fe 0.620 0.085 0.815
Fe5 Fe 0.797 0.671 0.054
Fe6 Fe 0.901 0.590 0.517
Si1 Si 0.136 0.007 0.376
Si2 Si 0.231 0.927 0.839
Si3 Si 0.414 0.522 0.073
Si4 Si 0.643 0.700 0.672
Si5 Si 0.728 0.244 0.569
Si6 Si 0.941 0.412 0.157
O1 O 0.112 0.045 0.846
O2 O 0.144 0.767 0.635
O3 O 0.155 0.487 0.300
O4 O 0.170 0.123 0.259
O5 O 0.199 0.156 0.579
O6 O 0.209 0.432 0.909
O7 O 0.209 0.831 0.970
O8 O 0.259 0.894 0.370
O9 O 0.422 0.398 0.184
O10 O 0.444 0.062 0.907
O11 O 0.457 0.724 0.210
O12 O 0.477 0.499 0.581
O13 O 0.554 0.843 0.664
O14 O 0.556 0.517 0.984
O15 O 0.594 0.181 0.361
O16 O 0.617 0.232 0.692
O17 O 0.752 0.707 0.548
O18 O 0.782 0.760 0.879
O19 O 0.826 0.450 0.271
O20 O 0.832 0.114 0.589
O21 O 0.851 0.202 0.015
O22 O 0.881 0.448 0.642
O23 O 0.920 0.869 0.281
O24 O 0.951 0.546 0.055
```


4.
For Sr2CoBr2O2, a crystal structure in the Materials Project, relaxed with GGA+U gives the simulated X-ray powder pattern in this record (Cu Kα X-rays).
Kinematic intensities with the Lorentz-polarization factor, no thermal factor.

Principal peaks in the range 5° ≤ 2θ ≤ 70°, by angle:
| 2θ (°) | d [Å] | I/Imax | (hkl) |
| --- | --- | --- | --- |
| 10.24 | 8.636 | 28 | 0 1 0 |
| 30.73 | 2.909 | 100 | 2 1 3 |
| 33.64 | 2.664 | 66 | 0 3 2 |
| 34.12 | 2.628 | 64 | 2 3 1 |
| 43.24 | 2.092 | 27 | 0 1 4 |
| 44.78 | 2.024 | 24 | 4 1 2 |
| 56.20 | 1.637 | 29 | 2 4 5 |
| 57.15 | 1.612 | 28 | 4 -1 4 |

Atomic structure:
```
data_Sr2CoBr2O2
_symmetry_space_group_name_H-M 'P -1'
_symmetry_Int_Tables_number 2
_symmetry_space_group_name_Hall '-P 1'
_cell_length_a 8.096
_cell_length_b 9.115
_cell_length_c 9.295
_cell_angle_alpha 72.31
_cell_angle_beta 64.20
_cell_angle_gamma 77.17
loop_
_atom_site_label
_atom_site_type_symbol
_atom_site_fract_x
_atom_site_fract_y
_atom_site_fract_z
Sr1 Sr 0.024 0.311 0.047
Sr2 Sr 0.227 0.688 0.453
Sr3 Sr 0.275 0.312 0.547
Sr4 Sr 0.476 0.688 0.953
Co1 Co 0.125 0.500 0.249
Co2 Co 0.374 0.500 0.751
Br1 Br 0.082 0.844 0.164
Br2 Br 0.168 0.156 0.336
Br3 Br 0.332 0.843 0.665
Br4 Br 0.418 0.157 0.836
O1 O 0.000 0.500 0.500
O2 O 0.128 0.500 0.750
O3 O 0.247 0.500 0.007
O4 O 0.379 0.500 0.249
O5 O 0.500 0.500 0.500
```


5.
For Cs2KMnF6, a crystal structure in the Materials Project, relaxed with GGA+U gives the simulated X-ray powder pattern in this record (Cu Kα X-rays).
Kinematic intensities with the Lorentz-polarization factor, no thermal factor.

Principal peaks in the range 5° ≤ 2θ ≤ 70°, by angle:
| 2θ (°) | d [Å] | I/Imax | (hkl) |
| --- | --- | --- | --- |
| 19.26 | 4.609 | 14 | 2 0 0 |
| 27.37 | 3.259 | 100 | 2 2 0 |
| 33.68 | 2.661 | 27 | 2 2 2 |
| 39.09 | 2.304 | 38 | 4 0 0 |
| 43.93 | 2.061 | 10 | 4 2 0 |
| 48.37 | 1.882 | 37 | 4 2 2 |
| 56.47 | 1.630 | 23 | 4 4 0 |
| 63.87 | 1.457 | 20 | 6 2 0 |

Atomic structure:
```
data_Cs2KMnF6
_symmetry_space_group_name_H-M 'F m -3 m'
_symmetry_Int_Tables_number 225
_symmetry_space_group_name_Hall '-F 4 2 3'
_cell_length_a 9.218
_cell_length_b 9.218
_cell_length_c 9.218
_cell_angle_alpha 90.00
_cell_angle_beta 90.00
_cell_angle_gamma 90.00
loop_
_atom_site_label
_atom_site_type_symbol
_atom_site_fract_x
_atom_site_fract_y
_atom_site_fract_z
Cs1 Cs 0.250 0.250 0.250
K1 K 0.000 0.000 0.000
Mn1 Mn 0.000 0.000 0.500
F1 F 0.000 0.000 0.284
```


6.
For Mn12O7F17, a crystal structure in the Materials Project, relaxed with GGA+U gives the simulated X-ray powder pattern in this record (Cu Kα X-rays).
Kinematic intensities with the Lorentz-polarization factor, no thermal factor.

Principal peaks in the range 5° ≤ 2θ ≤ 70°, by angle:
| 2θ (°) | d [Å] | I/Imax | (hkl) |
| --- | --- | --- | --- |
| 23.19 | 3.836 | 73 | 0 1 3 |
| 25.13 | 3.543 | 60 | 0 1 -3 |
| 28.46 | 3.137 | 100 | 1 1 3 |
| 29.10 | 3.068 | 83 | -1 1 3 |
| 30.33 | 2.947 | 77 | 1 -1 3 |
| 30.46 | 2.934 | 79 | 1 1 -3 |
| 50.91 | 1.794 | 41 | 2 0 6 |
| 51.88 | 1.762 | 39 | 2 0 -6 |

Atomic structure:
```
data_Mn12O7F17
_symmetry_space_group_name_H-M 'P 1'
_symmetry_Int_Tables_number 1
_symmetry_space_group_name_Hall 'P 1'
_cell_length_a 5.273
_cell_length_b 5.728
_cell_length_c 14.496
_cell_angle_alpha 85.37
_cell_angle_beta 88.92
_cell_angle_gamma 89.14
loop_
_atom_site_label
_atom_site_type_symbol
_atom_site_fract_x
_atom_site_fract_y
_atom_site_fract_z
Mn1 Mn 0.000 0.000 0.000
Mn2 Mn 0.005 0.559 0.181
Mn3 Mn 0.012 0.487 0.833
Mn4 Mn 0.017 0.954 0.340
Mn5 Mn 0.026 0.977 0.665
Mn6 Mn 0.036 0.473 0.495
Mn7 Mn 0.482 0.151 0.168
Mn8 Mn 0.487 0.148 0.837
Mn9 Mn 0.495 0.179 0.501
Mn10 Mn 0.518 0.662 0.340
Mn11 Mn 0.538 0.642 0.009
Mn12 Mn 0.551 0.655 0.670
O1 O 0.151 0.219 0.908
O2 O 0.187 0.215 0.576
O3 O 0.212 0.754 0.264
O4 O 0.347 0.433 0.425
O5 O 0.849 0.752 0.079
O6 O 0.857 0.686 0.405
O7 O 0.873 0.715 0.740
F1 F 0.139 0.231 0.255
F2 F 0.199 0.715 0.920
F3 F 0.212 0.720 0.589
F4 F 0.297 0.437 0.094
F5 F 0.326 0.433 0.754
F6 F 0.326 0.943 0.069
F7 F 0.352 0.931 0.740
F8 F 0.357 0.937 0.416
F9 F 0.654 0.442 0.238
F10 F 0.674 0.445 0.899
F11 F 0.692 0.927 0.257
F12 F 0.693 0.956 0.587
F13 F 0.700 0.926 0.922
F14 F 0.717 0.446 0.570
F15 F 0.790 0.242 0.074
F16 F 0.827 0.178 0.421
F17 F 0.830 0.210 0.750
```


7.
For BaNdFe4O12, a crystal structure in the Materials Project, relaxed with GGA+U gives the simulated X-ray powder pattern in this record (Cu Kα X-rays).
Kinematic intensities with the Lorentz-polarization factor, no thermal factor.

Principal peaks in the range 5° ≤ 2θ ≤ 70°, by angle:
| 2θ (°) | d [Å] | I/Imax | (hkl) |
| --- | --- | --- | --- |
| 19.86 | 4.470 | 89 | 1 0 1 |
| 32.71 | 2.737 | 100 | 2 0 0 |
| 38.53 | 2.337 | 32 | 2 1 1 |
| 38.64 | 2.330 | 16 | 1 0 3 |
| 46.88 | 1.938 | 29 | 2 2 0 |
| 51.45 | 1.776 | 21 | 2 1 3 |
| 58.35 | 1.581 | 25 | 3 1 2 |
| 68.61 | 1.368 | 16 | 2 2 4 |

Atomic structure:
```
data_BaNdFe4O12
_symmetry_space_group_name_H-M 'P 4/m m m'
_symmetry_Int_Tables_number 123
_symmetry_space_group_name_Hall '-P 4 2'
_cell_length_a 5.482
_cell_length_b 5.482
_cell_length_c 7.722
_cell_angle_alpha 90.00
_cell_angle_beta 90.00
_cell_angle_gamma 90.00
loop_
_atom_site_label
_atom_site_type_symbol
_atom_site_fract_x
_atom_site_fract_y
_atom_site_fract_z
Ba1 Ba 0.000 0.000 0.000
Nd1 Nd 0.500 0.500 0.500
Fe1 Fe 0.000 0.500 0.250
O1 O 0.000 0.500 0.000
O2 O 0.000 0.500 0.500
O3 O 0.260 0.260 0.264
```


8.
For Fe4O5F3, a crystal structure in the Materials Project, relaxed with GGA+U gives the simulated X-ray powder pattern in this record (Cu Kα X-rays).
Kinematic intensities with the Lorentz-polarization factor, no thermal factor.

Principal peaks in the range 5° ≤ 2θ ≤ 70°, by angle:
| 2θ (°) | d [Å] | I/Imax | (hkl) |
| --- | --- | --- | --- |
| 25.32 | 3.518 | 100 | 0 0 2 |
| 27.77 | 3.212 | 90 | 0 2 0 |
| 35.24 | 2.547 | 91 | 2 1 1 |
| 37.93 | 2.372 | 18 | 0 2 2 |
| 51.34 | 1.780 | 61 | 2 1 3 |
| 51.99 | 1.759 | 16 | 0 0 4 |
| 54.10 | 1.695 | 49 | 2 3 1 |
| 66.78 | 1.401 | 39 | 2 3 3 |

Atomic structure:
```
data_Fe4O5F3
_symmetry_space_group_name_H-M 'P m m n'
_symmetry_Int_Tables_number 59
_cell_length_a 6.037
_cell_length_b 6.424
_cell_length_c 7.036
_cell_angle_alpha 90.00
_cell_angle_beta 90.00
_cell_angle_gamma 90.00
loop_
_symmetry_equiv_pos_as_xyz
'x,y,z'
'-x,-y,-z'
'-x+1/2,-y+1/2,z'
'x+1/2,y+1/2,-z'
'x+1/2,-y,-z'
'-x+1/2,y,z'
'-x,y+1/2,-z'
'x,-y+1/2,z'
loop_
_atom_site_label
_atom_site_type_symbol
_atom_site_fract_x
_atom_site_fract_y
_atom_site_fract_z
Fe1 Fe 0.013 0.250 0.240
Fe2 Fe 0.250 0.250 0.775
Fe3 Fe 0.250 0.750 0.262
O1 O 0.010 0.557 0.254
O2 O 0.250 0.250 0.058
F1 F 0.250 0.250 0.446
F2 F 0.250 0.750 0.570
F3 F 0.250 0.750 0.940
```